1.
Theoretical XRD peak list
Compound: LiHo2Al4Pt3
Radiation: CuKα
Structure: the PBE geometry in Alexandria

Atomic structure:
```
10
Lattice="4.115 0.000 0.000 0.000 4.115 0.000 0.000 0.000 10.894" Properties=species:S:1:pos:R:3 pbc="T T T"
Li 0.000 0.000 0.000
Ho 0.000 2.058 8.098
Ho 2.058 0.000 2.796
Al 0.000 0.000 5.447
Al 0.000 2.058 1.444
Al 2.058 0.000 9.450
Al 2.058 2.058 5.447
Pt 0.000 2.058 3.936
Pt 2.058 0.000 6.958
Pt 2.058 2.058 0.000
```

Peak list (10 most intense, 5 to 70 degrees two-theta, in order of rising 2θ)
2θ = 24.51°, 3.631 Å, I = 323; 2θ = 27.16°, 3.284 Å, I = 558; 2θ = 30.72°, 2.910 Å, I = 441; 2θ = 31.83°, 2.812 Å, I = 409; 2θ = 32.89°, 2.723 Å, I = 962; 2θ = 34.96°, 2.567 Å, I = 1000; 2θ = 44.00°, 2.058 Å, I = 651; 2θ = 47.20°, 1.926 Å, I = 602; 2θ = 56.02°, 1.642 Å, I = 435; 2θ = 66.50°, 1.406 Å, I = 427


2.
Theoretical XRD peak list
Compound: Li3Ho3AlTe8
Radiation: CuKα
Structure: the PBE geometry in Alexandria

Atomic structure:
```
15
Lattice="4.263 2.462 7.030 -4.263 2.462 7.030 0.000 -4.923 7.030" Properties=species:S:1:pos:R:3 pbc="T T T"
Li -2.132 -1.231 7.030
Li -2.132 1.231 14.061
Li 0.000 2.462 7.030
Ho -4.263 0.000 10.546
Ho -2.132 1.231 3.515
Ho 2.132 1.231 3.515
Al 0.000 0.000 10.546
Te 0.000 0.000 5.325
Te 0.000 -2.308 8.840
Te -1.999 1.154 8.840
Te -1.999 -1.154 12.251
Te 1.999 1.154 8.840
Te 1.999 -1.154 12.251
Te 0.000 2.308 12.251
Te 0.000 0.000 15.766
```

Peak list (10 most intense, 5 to 70 degrees two-theta, in order of rising 2θ)
2θ = 12.59°, 7.030 Å, I = 293; 2θ = 24.47°, 3.638 Å, I = 203; 2θ = 25.56°, 3.485 Å, I = 129; 2θ = 29.53°, 3.024 Å, I = 1000; 2θ = 42.12°, 2.146 Å, I = 377; 2θ = 42.40°, 2.132 Å, I = 361; 2θ = 52.52°, 1.742 Å, I = 189; 2θ = 61.30°, 1.512 Å, I = 118; 2θ = 69.29°, 1.356 Å, I = 163; 2θ = 69.70°, 1.349 Å, I = 153


3.
Theoretical XRD peak list
Compound: Ho3Mg2Al
Radiation: CuKα
Structure: the PBE geometry in Alexandria

Atomic structure:
```
12
Lattice="5.229 0.000 0.000 -2.615 4.529 0.000 0.000 0.000 12.835" Properties=species:S:1:pos:R:3 pbc="T T T"
Ho 0.000 0.000 3.144
Ho 0.000 0.000 9.691
Ho 0.000 3.019 5.266
Ho 0.000 3.019 11.755
Ho 2.615 1.510 1.079
Ho 2.615 1.510 7.569
Mg 0.000 0.000 0.000
Mg 0.000 0.000 6.417
Mg 0.000 3.019 8.506
Mg 2.615 1.510 4.329
Al 0.000 3.019 2.085
Al 2.615 1.510 10.750
```

Peak list (7 most intense, 5 to 70 degrees two-theta, in order of rising 2θ)
2θ = 24.05°, 3.700 Å, I = 639; 2θ = 34.27°, 2.616 Å, I = 1000; 2θ = 42.31°, 2.136 Å, I = 195; 2θ = 49.25°, 1.850 Å, I = 179; 2θ = 55.53°, 1.655 Å, I = 264; 2θ = 61.36°, 1.511 Å, I = 274; 2θ = 61.42°, 1.510 Å, I = 93